(1)
The following is a computed powder diffraction line list of MgFeAgSe3. It was derived from DFT lattice parameters and positions (GGA-PBE), using Cu Kα, 1.54184 Å.
No peak broadening, texture or thermal motion is included.

Peak list (10 most intense, 15° ≤ 2θ ≤ 90°, sorted by position)
| 2θ (°) | Rel. int. | index |
| --- | --- | --- |
| 15.84 | 13.9 | 0 2 1 |
| 26.87 | 11.2 | 0 4 0 |
| 26.97 | 18.5 | 1 1 1 |
| 28.23 | 10.9 | 0 4 1 |
| 31.98 | 100.0 | 1 3 0 |
| 34.49 | 52.2 | 0 0 4 |
| 47.74 | 60.6 | 1 3 4 |
| 50.51 | 17.4 | 2 0 0 |
| 62.60 | 17.4 | 2 0 4 |
| 81.64 | 11.4 | 1 3 8 |

abc: 3.614 13.272 10.403
angles: 90.00 90.00 90.00
Space group Cmcm (No. 63)
Unique sites:
Mg1 0.000 0.175 0.250 x4
Fe1 0.000 0.500 0.000 x4
Ag1 0.000 0.151 0.750 x4
Se1 0.000 0.129 0.510 x8
Se2 0.000 0.466 0.750 x4

(2)
The following is a computed powder diffraction line list of Sc2FeAg. It was derived from DFT lattice parameters and positions (GGA-PBE), using Cu Kα, 1.54184 Å.
No peak broadening, texture or thermal motion is included.

Peak list (10 most intense, 15° ≤ 2θ ≤ 90°, sorted by position)
| 2θ (°) | Rel. int. | index |
| --- | --- | --- |
| 23.74 | 17.4 | 1 1 1 |
| 27.48 | 5.5 | 2 0 0 |
| 39.25 | 100.0 | 2 2 0 |
| 46.39 | 8.9 | 3 1 1 |
| 56.71 | 15.7 | 4 0 0 |
| 62.34 | 3.6 | 3 3 1 |
| 71.14 | 30.4 | 4 2 2 |
| 76.20 | 2.7 | 5 1 1 |
| 84.40 | 9.4 | 4 4 0 |
| 89.25 | 2.9 | 5 3 1 |

abc: 6.492 6.492 6.492
angles: 90.00 90.00 90.00
Space group F-43m (No. 216)
Unique sites:
Sc1 0.000 0.000 0.000 x4
Sc2 0.250 0.250 0.250 x4
Fe1 0.000 0.000 0.500 x4
Ag1 0.250 0.250 0.750 x4

(3)
The following is a computed powder diffraction line list of SmFeAg. It was derived from DFT lattice parameters and positions (GGA-PBE), using Cu Kα, 1.54184 Å.
No peak broadening, texture or thermal motion is included.

Peak list (10 most intense, 15° ≤ 2θ ≤ 90°, sorted by position)
| 2θ (°) | Rel. int. | index |
| --- | --- | --- |
| 22.77 | 59.6 | 1 1 1 |
| 26.36 | 0.7 | 2 0 0 |
| 37.62 | 100.0 | 2 2 0 |
| 44.43 | 30.6 | 3 1 1 |
| 54.25 | 16.8 | 4 0 0 |
| 59.59 | 12.8 | 3 3 1 |
| 67.89 | 33.4 | 4 2 2 |
| 72.64 | 9.5 | 5 1 1 |
| 80.30 | 10.4 | 4 4 0 |
| 84.81 | 9.6 | 5 3 1 |

abc: 6.763 6.763 6.763
angles: 90.00 90.00 90.00
Space group F-43m (No. 216)
Unique sites:
Sm1 0.000 0.000 0.000 x4
Fe1 0.250 0.250 0.250 x4
Ag1 0.250 0.250 0.750 x4

(4)
The following is a computed powder diffraction line list of SrFeAgTe3. It was derived from DFT lattice parameters and positions (GGA-PBE), using Cu Kα, 1.54184 Å.
No peak broadening, texture or thermal motion is included.

Peak list (10 most intense, 15° ≤ 2θ ≤ 90°, sorted by position)
| 2θ (°) | Rel. int. | index |
| --- | --- | --- |
| 28.16 | 26.1 | 2 0 3 |
| 30.17 | 70.7 | 2 1 2 |
| 30.31 | 86.2 | 3 1 1 |
| 33.65 | 100.0 | 3 1 2 |
| 34.02 | 56.2 | 1 0 4 |
| 35.60 | 56.4 | 2 1 3 |
| 43.16 | 44.5 | 5 1 2 |
| 43.46 | 50.5 | 0 2 0 |
| 56.31 | 30.8 | 1 2 4 |
| 63.14 | 25.3 | 7 1 4 |

abc: 13.594 4.164 10.747
angles: 90.00 90.00 90.00
Space group Pnma (No. 62)
Unique sites:
Sr1 0.224 0.250 0.070 x4
Fe1 0.008 0.250 0.342 x4
Ag1 0.012 0.750 0.090 x4
Te1 0.081 0.250 0.563 x4
Te2 0.119 0.750 0.851 x4
Te3 0.136 0.750 0.293 x4

Copy entry 1 word for word.
The following is a computed powder diffraction line list of MgFeAgSe3. It was derived from DFT lattice parameters and positions (GGA-PBE), using Cu Kα, 1.54184 Å.
No peak broadening, texture or thermal motion is included.

Peak list (10 most intense, 15° ≤ 2θ ≤ 90°, sorted by position)
| 2θ (°) | Rel. int. | index |
| --- | --- | --- |
| 15.84 | 13.9 | 0 2 1 |
| 26.87 | 11.2 | 0 4 0 |
| 26.97 | 18.5 | 1 1 1 |
| 28.23 | 10.9 | 0 4 1 |
| 31.98 | 100.0 | 1 3 0 |
| 34.49 | 52.2 | 0 0 4 |
| 47.74 | 60.6 | 1 3 4 |
| 50.51 | 17.4 | 2 0 0 |
| 62.60 | 17.4 | 2 0 4 |
| 81.64 | 11.4 | 1 3 8 |

abc: 3.614 13.272 10.403
angles: 90.00 90.00 90.00
Space group Cmcm (No. 63)
Unique sites:
Mg1 0.000 0.175 0.250 x4
Fe1 0.000 0.500 0.000 x4
Ag1 0.000 0.151 0.750 x4
Se1 0.000 0.129 0.510 x8
Se2 0.000 0.466 0.750 x4

Copy entry 2 word for word.
The following is a computed powder diffraction line list of Sc2FeAg. It was derived from DFT lattice parameters and positions (GGA-PBE), using Cu Kα, 1.54184 Å.
No peak broadening, texture or thermal motion is included.

Peak list (10 most intense, 15° ≤ 2θ ≤ 90°, sorted by position)
| 2θ (°) | Rel. int. | index |
| --- | --- | --- |
| 23.74 | 17.4 | 1 1 1 |
| 27.48 | 5.5 | 2 0 0 |
| 39.25 | 100.0 | 2 2 0 |
| 46.39 | 8.9 | 3 1 1 |
| 56.71 | 15.7 | 4 0 0 |
| 62.34 | 3.6 | 3 3 1 |
| 71.14 | 30.4 | 4 2 2 |
| 76.20 | 2.7 | 5 1 1 |
| 84.40 | 9.4 | 4 4 0 |
| 89.25 | 2.9 | 5 3 1 |

abc: 6.492 6.492 6.492
angles: 90.00 90.00 90.00
Space group F-43m (No. 216)
Unique sites:
Sc1 0.000 0.000 0.000 x4
Sc2 0.250 0.250 0.250 x4
Fe1 0.000 0.000 0.500 x4
Ag1 0.250 0.250 0.750 x4